Simulated powder X-ray diffraction pattern
Compound: PaIN
Radiation: copper Kα
Structure: a cell relaxed with GGA-PBE

Largest 10 diffraction maxima, most intense first, 2θ = 5–70°:
- 29.0°, intensity 100, (0 1 5)
- 7.7°, intensity 85, (0 0 3)
- 37.0°, intensity 44, (1 0 10)
- 45.7°, intensity 33, (1 1 0)
- 26.4°, intensity 30, (0 1 2)
- 31.8°, intensity 26, (1 0 7)
- 61.9°, intensity 18, (1 1 15)
- 56.4°, intensity 18, (1 1 12)
- 55.0°, intensity 17, (2 0 5)
- 31.3°, intensity 15, (0 0 12)

Structural model:
abc: 3.9730 3.9730 34.2888
angles: 90.00 90.00 120.00
Space group R-3m (No. 166, hexagonal axes)
Asymmetric unit:
1 Pa 0.0000 0.0000 0.2061 x6
2 I 0.0000 0.0000 0.3930 x6
3 N 0.0000 0.0000 0.1420 x6